This entry pairs a crystal structure of PrHo2Er2Tm with its theoretical powder XRD pattern. Radiation: Cu Kα. Structure: DFT lattice parameters and positions (GGA-PBE).
No peak broadening, texture or thermal motion is included.

Atomic structure:
a = 6.894 Å, b = 16.018 Å, c = 3.508 Å
α = 90.00°, β = 90.00°, γ = 90.00°
Positions (direct):
Pr: 0.000 0.000 0.000
Pr: 0.500 0.500 0.500
Ho: 0.249 0.343 0.000
Ho: 0.251 0.843 0.500
Ho: 0.749 0.157 0.500
Ho: 0.751 0.657 0.000
Er: 0.249 0.657 0.000
Er: 0.251 0.157 0.500
Er: 0.749 0.843 0.500
Er: 0.751 0.343 0.000
Tm: 0.000 0.500 0.500
Tm: 0.500 0.000 0.000

Peak list (8 most intense, 2θ from 10° to 90°, in order of falling intensity)
d 2.932, 30.49°, I = 1000
d 2.430, 36.99°, I = 592
d 2.613, 34.33°, I = 471
d 3.166, 28.18°, I = 430
d 2.670, 33.57°, I = 362
d 1.675, 54.80°, I = 303
d 1.486, 62.51°, I = 261
d 1.456, 63.93°, I = 157


This entry pairs a crystal structure of Ho5ErPt4 with its theoretical powder XRD pattern. Radiation: Cu Kα. Structure: DFT lattice parameters and positions (GGA-PBE).
No peak broadening, texture or thermal motion is included.

Atomic structure:
a = 9.538 Å, b = 9.538 Å, c = 7.623 Å
α = 113.46°, β = 113.46°, γ = 24.92°
Positions (direct):
Ho: 0.000 0.000 0.000
Ho: 0.336 0.336 0.094
Ho: 0.336 0.336 0.577
Ho: 0.664 0.664 0.423
Ho: 0.664 0.664 0.906
Er: 0.000 0.000 0.500
Pt: 0.208 0.208 0.709
Pt: 0.500 0.500 0.248
Pt: 0.500 0.500 0.752
Pt: 0.792 0.792 0.291

Peak list (8 most intense, 2θ from 10° to 90°, in order of falling intensity)
d 2.759, 32.45°, I = 1000
d 2.160, 41.81°, I = 720
d 2.835, 31.55°, I = 465
d 2.058, 44.00°, I = 244
d 1.666, 55.14°, I = 194
d 1.906, 47.72°, I = 190
d 3.332, 26.76°, I = 179
d 2.093, 43.22°, I = 167


This entry pairs a crystal structure of HoEr2Pt2 with its theoretical powder XRD pattern. Radiation: Cu Kα. Structure: DFT lattice parameters and positions (GGA-PBE).
No peak broadening, texture or thermal motion is included.

Atomic structure:
a = 13.856 Å, b = 13.856 Å, c = 4.602 Å
α = 90.00°, β = 90.00°, γ = 164.47°
Positions (direct):
Ho: 0.136 0.864 0.750
Ho: 0.864 0.136 0.250
Er: 0.231 0.769 0.250
Er: 0.449 0.551 0.750
Er: 0.551 0.449 0.250
Er: 0.769 0.231 0.750
Pt: 0.033 0.967 0.750
Pt: 0.344 0.656 0.750
Pt: 0.656 0.344 0.250
Pt: 0.967 0.033 0.250

Peak list (8 most intense, 2θ from 10° to 90°, in order of falling intensity)
d 2.769, 32.34°, I = 1000
d 2.334, 38.57°, I = 542
d 2.301, 39.15°, I = 412
d 2.746, 32.61°, I = 350
d 2.104, 43.00°, I = 279
d 1.872, 48.63°, I = 223
d 2.365, 38.04°, I = 215
d 1.452, 64.12°, I = 196


This entry pairs a crystal structure of Ho2Er3Pt4 with its theoretical powder XRD pattern. Radiation: Cu Kα. Structure: DFT lattice parameters and positions (GGA-PBE).
No peak broadening, texture or thermal motion is included.

Atomic structure:
a = 7.616 Å, b = 7.674 Å, c = 7.458 Å
α = 90.00°, β = 109.89°, γ = 90.00°
Positions (direct):
Ho: 0.193 0.180 0.071
Ho: 0.193 0.320 0.571
Ho: 0.807 0.680 0.429
Ho: 0.807 0.820 0.929
Er: 0.244 0.667 0.246
Er: 0.244 0.833 0.746
Er: 0.500 0.000 0.500
Er: 0.500 0.500 0.000
Er: 0.756 0.167 0.254
Er: 0.756 0.333 0.754
Pt: 0.086 0.535 0.848
Pt: 0.086 0.965 0.348
Pt: 0.487 0.137 0.867
Pt: 0.487 0.363 0.367
Pt: 0.513 0.637 0.633
Pt: 0.513 0.863 0.133
Pt: 0.914 0.035 0.652
Pt: 0.914 0.465 0.152

Peak list (8 most intense, 2θ from 10° to 90°, in order of falling intensity)
d 2.364, 38.06°, I = 1000
d 2.681, 33.43°, I = 906
d 2.627, 34.13°, I = 868
d 2.654, 33.77°, I = 724
d 2.403, 37.42°, I = 678
d 2.387, 37.68°, I = 608
d 2.862, 31.26°, I = 444
d 2.618, 34.25°, I = 373


This entry pairs a crystal structure of Ho3ErPt4 with its theoretical powder XRD pattern. Radiation: Cu Kα. Structure: DFT lattice parameters and positions (GGA-PBE).
No peak broadening, texture or thermal motion is included.

Atomic structure:
a = 3.769 Å, b = 6.591 Å, c = 15.173 Å
α = 90.00°, β = 90.00°, γ = 90.00°
Positions (direct):
Ho: 0.000 0.000 0.000
Ho: 0.000 0.500 0.200
Ho: 0.000 0.500 0.800
Ho: 0.500 0.000 0.300
Ho: 0.500 0.000 0.700
Ho: 0.500 0.500 0.500
Er: 0.000 0.000 0.500
Er: 0.500 0.500 0.000
Pt: 0.000 0.294 0.372
Pt: 0.000 0.294 0.628
Pt: 0.000 0.706 0.372
Pt: 0.000 0.706 0.628
Pt: 0.500 0.206 0.128
Pt: 0.500 0.206 0.872
Pt: 0.500 0.794 0.128
Pt: 0.500 0.794 0.872

Peak list (8 most intense, 2θ from 10° to 90°, in order of falling intensity)
d 3.004, 29.74°, I = 1000
d 2.488, 36.10°, I = 971
d 2.227, 40.50°, I = 691
d 2.448, 36.70°, I = 477
d 2.364, 38.07°, I = 461
d 3.658, 24.33°, I = 424
d 1.502, 61.75°, I = 423
d 1.885, 48.29°, I = 370


This entry pairs a crystal structure of Ho2ErPt3 with its theoretical powder XRD pattern. Radiation: Cu Kα. Structure: DFT lattice parameters and positions (GGA-PBE).
No peak broadening, texture or thermal motion is included.

Atomic structure:
a = 4.933 Å, b = 14.801 Å, c = 3.442 Å
α = 90.00°, β = 90.00°, γ = 90.00°
Positions (direct):
Ho: 0.250 0.083 0.000
Ho: 0.250 0.417 0.000
Ho: 0.750 0.583 0.000
Ho: 0.750 0.917 0.000
Er: 0.250 0.750 0.001
Er: 0.750 0.250 0.999
Pt: 0.250 0.250 0.500
Pt: 0.250 0.584 0.501
Pt: 0.250 0.916 0.501
Pt: 0.750 0.084 0.499
Pt: 0.750 0.416 0.499
Pt: 0.750 0.750 0.500

Peak list (8 most intense, 2θ from 10° to 90°, in order of falling intensity)
d 2.450, 36.68°, I = 1000
d 2.467, 36.42°, I = 509
d 1.421, 65.71°, I = 370
d 1.744, 52.46°, I = 181
d 1.412, 66.21°, I = 181
d 1.225, 77.99°, I = 114
d 1.721, 53.22°, I = 87
d 1.103, 88.67°, I = 86


This entry pairs a crystal structure of Ho3ErPu with its theoretical powder XRD pattern. Radiation: Cu Kα. Structure: DFT lattice parameters and positions (GGA-PBE).
No peak broadening, texture or thermal motion is included.

Atomic structure:
a = 5.370 Å, b = 6.886 Å, c = 17.211 Å
α = 90.00°, β = 108.11°, γ = 90.00°
Positions (direct):
Ho: 0.108 0.001 0.107
Ho: 0.108 0.499 0.607
Ho: 0.301 0.249 0.802
Ho: 0.301 0.251 0.302
Ho: 0.301 0.749 0.802
Ho: 0.301 0.751 0.302
Ho: 0.699 0.249 0.698
Ho: 0.699 0.251 0.198
Ho: 0.699 0.749 0.698
Ho: 0.699 0.751 0.198
Ho: 0.892 0.501 0.393
Ho: 0.892 0.999 0.893
Er: 0.108 0.501 0.107
Er: 0.108 0.999 0.607
Er: 0.892 0.001 0.393
Er: 0.892 0.499 0.893
Pu: 0.500 0.249 0.500
Pu: 0.500 0.251 0.000
Pu: 0.500 0.749 0.000
Pu: 0.500 0.751 0.500

Peak list (8 most intense, 2θ from 10° to 90°, in order of falling intensity)
d 2.794, 32.03°, I = 1000
d 2.854, 31.34°, I = 967
d 2.685, 33.37°, I = 458
d 2.634, 34.04°, I = 421
d 1.880, 48.41°, I = 318
d 1.466, 63.47°, I = 287
d 2.137, 42.28°, I = 190
d 1.570, 58.80°, I = 186


This entry pairs a crystal structure of Ho5Er6Pu with its theoretical powder XRD pattern. Radiation: Cu Kα. Structure: DFT lattice parameters and positions (GGA-PBE).
No peak broadening, texture or thermal motion is included.

Atomic structure:
a = 10.647 Å, b = 10.647 Å, c = 10.647 Å
α = 160.24°, β = 114.42°, γ = 69.24°
Positions (direct):
Ho: 0.000 0.000 0.000
Ho: 0.183 0.683 0.500
Ho: 0.350 0.350 0.000
Ho: 0.650 0.650 0.000
Ho: 0.817 0.317 0.500
Er: 0.085 0.833 0.252
Er: 0.260 0.500 0.760
Er: 0.419 0.167 0.252
Er: 0.581 0.833 0.748
Er: 0.740 0.500 0.240
Er: 0.915 0.167 0.748
Pu: 0.500 0.000 0.500

Peak list (8 most intense, 2θ from 10° to 90°, in order of falling intensity)
d 2.729, 32.82°, I = 1000
d 2.883, 31.02°, I = 291
d 2.921, 30.61°, I = 269
d 1.633, 56.33°, I = 209
d 2.052, 44.14°, I = 199
d 1.647, 55.83°, I = 172
d 1.364, 68.82°, I = 107
d 1.543, 59.95°, I = 91


This entry pairs a crystal structure of Ho5Er4Pu with its theoretical powder XRD pattern. Radiation: Cu Kα. Structure: DFT lattice parameters and positions (GGA-PBE).
No peak broadening, texture or thermal motion is included.

Atomic structure:
a = 8.066 Å, b = 8.066 Å, c = 8.066 Å
α = 96.41°, β = 96.41°, γ = 140.96°
Positions (direct):
Ho: 0.000 0.000 0.000
Ho: 0.316 0.316 0.631
Ho: 0.316 0.684 0.000
Ho: 0.684 0.316 0.000
Ho: 0.684 0.684 0.369
Er: 0.000 0.326 0.326
Er: 0.000 0.674 0.674
Er: 0.326 0.000 0.326
Er: 0.674 0.000 0.674
Pu: 0.500 0.500 0.000

Peak list (8 most intense, 2θ from 10° to 90°, in order of falling intensity)
d 2.985, 29.94°, I = 1000
d 2.534, 35.42°, I = 608
d 2.694, 33.26°, I = 467
d 1.846, 49.36°, I = 466
d 1.492, 62.22°, I = 241
d 1.536, 60.24°, I = 213
d 1.792, 50.96°, I = 198
d 1.606, 57.36°, I = 160


This entry pairs a crystal structure of Ho12Er7Pu with its theoretical powder XRD pattern. Radiation: Cu Kα. Structure: DFT lattice parameters and positions (GGA-PBE).
No peak broadening, texture or thermal motion is included.

Atomic structure:
a = 8.599 Å, b = 8.599 Å, c = 8.599 Å
α = 90.58°, β = 90.58°, γ = 90.58°
Positions (direct):
Ho: 0.125 0.457 0.348
Ho: 0.227 0.375 0.769
Ho: 0.231 0.773 0.625
Ho: 0.348 0.125 0.457
Ho: 0.375 0.769 0.227
Ho: 0.457 0.348 0.125
Ho: 0.543 0.652 0.875
Ho: 0.625 0.231 0.773
Ho: 0.652 0.875 0.543
Ho: 0.769 0.227 0.375
Ho: 0.773 0.625 0.231
Ho: 0.875 0.543 0.652
Er: 0.025 0.930 0.326
Er: 0.070 0.674 0.975
Er: 0.326 0.025 0.930
Er: 0.500 0.500 0.500
Er: 0.674 0.975 0.070
Er: 0.930 0.326 0.025
Er: 0.975 0.070 0.674
Pu: 0.000 0.000 0.000

Peak list (8 most intense, 2θ from 10° to 90°, in order of falling intensity)
d 2.879, 31.06°, I = 1000
d 2.727, 32.84°, I = 779
d 2.711, 33.04°, I = 624
d 2.866, 31.21°, I = 365
d 2.841, 31.49°, I = 305
d 3.830, 23.23°, I = 212
d 1.694, 54.13°, I = 205
d 2.576, 34.83°, I = 189


This entry pairs a crystal structure of Ho8Er3Pu2 with its theoretical powder XRD pattern. Radiation: Cu Kα. Structure: DFT lattice parameters and positions (GGA-PBE).
No peak broadening, texture or thermal motion is included.

Atomic structure:
a = 10.676 Å, b = 10.676 Å, c = 5.613 Å
α = 90.00°, β = 90.00°, γ = 139.82°
Positions (direct):
Ho: 0.141 0.859 0.000
Ho: 0.169 0.393 0.500
Ho: 0.324 0.676 0.000
Ho: 0.393 0.169 0.500
Ho: 0.607 0.831 0.500
Ho: 0.676 0.324 0.000
Ho: 0.831 0.607 0.500
Ho: 0.859 0.141 0.000
Er: 0.000 0.000 0.500
Er: 0.272 0.272 0.000
Er: 0.728 0.728 0.000
Pu: 0.243 0.757 0.500
Pu: 0.757 0.243 0.500

Peak list (8 most intense, 2θ from 10° to 90°, in order of falling intensity)
d 2.618, 34.25°, I = 1000
d 2.806, 31.89°, I = 428
d 2.872, 31.15°, I = 352
d 3.444, 25.87°, I = 269
d 2.981, 29.97°, I = 231
d 1.581, 58.35°, I = 227
d 2.175, 41.51°, I = 156
d 1.834, 49.71°, I = 142


This entry pairs a crystal structure of Ho2Er6Pu with its theoretical powder XRD pattern. Radiation: Cu Kα. Structure: DFT lattice parameters and positions (GGA-PBE).
No peak broadening, texture or thermal motion is included.

Atomic structure:
a = 6.495 Å, b = 6.495 Å, c = 12.998 Å
α = 95.25°, β = 95.25°, γ = 95.25°
Positions (direct):
Ho: 0.001 0.336 0.332
Ho: 0.336 0.001 0.832
Ho: 0.664 0.999 0.168
Ho: 0.999 0.664 0.668
Er: 0.001 0.669 0.165
Er: 0.170 0.171 0.085
Er: 0.171 0.170 0.585
Er: 0.331 0.999 0.335
Er: 0.333 0.665 0.501
Er: 0.335 0.667 0.999
Er: 0.665 0.333 0.001
Er: 0.667 0.335 0.499
Er: 0.669 0.001 0.665
Er: 0.829 0.830 0.415
Er: 0.830 0.829 0.915
Er: 0.999 0.331 0.835
Pu: 0.499 0.501 0.250
Pu: 0.501 0.499 0.750

Peak list (8 most intense, 2θ from 10° to 90°, in order of falling intensity)
d 2.770, 32.32°, I = 1000
d 1.600, 57.62°, I = 227
d 1.959, 46.36°, I = 179
d 1.446, 64.43°, I = 155
d 1.239, 76.96°, I = 81
d 1.163, 83.00°, I = 72
d 1.599, 57.64°, I = 63
d 1.385, 67.62°, I = 63